# BaHoAs2Pd5
Computed XRD peak list, Cu Kα (weighted mean of Kα1 and Kα2). Input: a crystal structure in Alexandria, relaxed with GGA-PBE.

Structural model:
```
data_BaHoAs2Pd5
_cell_length_a 4.6337
_cell_length_b 4.6337
_cell_length_c 9.7595
_cell_angle_alpha 90.00
_cell_angle_beta 90.00
_cell_angle_gamma 90.00
_space_group_name_H-M_alt 'P 4/m m m'
_space_group_IT_number 123
_space_group_name_Hall '-P 4 2'
loop_
_atom_site_label
_atom_site_fract_x
_atom_site_fract_y
_atom_site_fract_z
Ba1 0.0000 0.0000 0.0000
Ho1 0.0000 0.0000 0.5000
As1 0.5000 0.5000 0.2462
Pd1 0.0000 0.5000 0.3261
Pd2 0.5000 0.5000 0.0000
```

Main lines, low angle first (2θ from 5° to 70°):
9.06 deg, d = 9.759 Å, I = 22; 26.53 deg, d = 3.360 Å, I = 65; 27.42 deg, d = 3.253 Å, I = 32; 28.74 deg, d = 3.106 Å, I = 37; 32.93 deg, d = 2.720 Å, I = 80; 38.87 deg, d = 2.317 Å, I = 100; 39.02 deg, d = 2.309 Å, I = 27; 46.40 deg, d = 1.957 Å, I = 60; 47.68 deg, d = 1.907 Å, I = 26; 48.22 deg, d = 1.887 Å, I = 27; 56.14 deg, d = 1.638 Å, I = 34; 66.64 deg, d = 1.403 Å, I = 20